No. 1
This entry pairs a crystal structure of Pm8NdSc3 with its theoretical powder XRD pattern. Radiation: Cu Ka. Structure: a DFT-relaxed cell (GGA-PBE, Alexandria).
Lines closer than 0.1° are merged.

Largest 10 diffraction maxima, most intense first, 2θ from 10° to 90°:
d 2.902, 30.8 deg, rel. 100.0, (2 -1 1); d 2.514, 35.7 deg, rel. 33.7, (2 0 -2); d 1.515, 61.2 deg, rel. 24.0, (3 2 -3); d 1.778, 51.4 deg, rel. 17.7, (3 1 0); d 1.776, 51.5 deg, rel. 17.5, (1 3 -4); d 2.510, 35.8 deg, rel. 16.6, (1 -3 2); d 1.518, 61.1 deg, rel. 10.5, (2 1 -5); d 1.451, 64.2 deg, rel. 8.9, (0 2 -6); d 1.123, 86.7 deg, rel. 7.7, (4 2 2); d 1.513, 61.3 deg, rel. 6.8, (1 -4 5)

Structural model:
Cell: 6.162 7.938 8.703 Å, 111.30 90.14 105.02°
Space group P1 (No. 1)
Inequivalent atoms, fractional coordinates:
Pm  0.000  0.000  0.000
Pm  0.076  0.743  0.577
Pm  0.328  0.983  0.329
Pm  0.416  0.736  0.918
Pm  0.492  0.490  0.495
Pm  0.578  0.253  0.083
Pm  0.835  0.492  0.836
Pm  0.918  0.240  0.413
Nd  0.665  0.994  0.663
Sc  0.165  0.495  0.163
Sc  0.248  0.247  0.753
Sc  0.745  0.737  0.245

No. 2
This entry pairs a crystal structure of PrSmSe2 with its theoretical powder XRD pattern. Radiation: Cu Ka. Structure: a DFT-relaxed cell (GGA-PBE, Alexandria).
Lines closer than 0.1° are merged.

Largest 10 diffraction maxima, most intense first, 2θ from 10° to 90°:
d 3.213, 27.8 deg, rel. 100.0, (1 0 2); d 2.868, 31.2 deg, rel. 84.4, (1 0 3); d 2.079, 43.5 deg, rel. 64.7, (1 1 0); d 2.233, 40.4 deg, rel. 32.6, (1 0 5); d 1.351, 69.6 deg, rel. 31.1, (1 1 8); d 1.980, 45.8 deg, rel. 30.7, (1 0 6); d 2.531, 35.5 deg, rel. 28.1, (1 0 4); d 1.745, 52.4 deg, rel. 17.3, (2 0 2); d 1.683, 54.5 deg, rel. 17.1, (2 0 3); d 1.308, 72.2 deg, rel. 14.7, (2 1 3)

Structural model:
Cell: 4.1577 4.1577 14.2286 Å, 90.00 90.00 120.00°
Space group P6_3/mmc (No. 194)
Inequivalent atoms, fractional coordinates:
Pr  0.3333  0.6667  0.2500
Sm  0.0000  0.0000  0.0000
Se  0.3333  0.6667  0.6198